(1)
Diffraction record for Na2HfZnP2SO12. The X-ray diffraction stick pattern is calculated, not measured: it uses a DFT-relaxed cell (PBE, the Materials Project) and Cu Kα, 1.54184 Å.
Lines closer than 0.1° are merged.

Peak list (12 most intense, 2θ from 10° to 90°, by angle)
Position (°2θ)	I/Imax
13.9	78
19.5	97
19.9	100
23.1	34
28.0	36
31.1	78
31.2	35
31.6	18
34.5	21
34.8	54
47.3	27
54.4	19

Cell and atoms:
Lattice parameters (Å, degrees): 8.9286 8.9286 9.0788 119.14 119.14 60.06
Element x y z (fractional)
Na: 0.0717 0.9283 0.5000
Na: 0.3438 0.8189 0.2521
Na: 0.8189 0.3438 0.7521
Na: 0.9283 0.0717 0.0000
Hf: 0.1500 0.6560 0.7812
Hf: 0.6560 0.1500 0.2812
Zn: 0.4606 0.9567 0.6766
Zn: 0.9567 0.4606 0.1766
P: 0.0538 0.2538 0.4592
P: 0.2538 0.0538 0.9592
P: 0.7576 0.8439 0.4707
P: 0.8439 0.7576 0.9707
S: 0.3505 0.5520 0.4708
S: 0.5520 0.3505 0.9708
O: 0.0146 0.2755 0.2859
O: 0.0210 0.7456 0.9572
O: 0.0760 0.2123 0.9809
O: 0.0898 0.4252 0.6229
O: 0.1952 0.5207 0.3109
O: 0.2123 0.0760 0.4809
O: 0.2405 0.8816 0.9554
O: 0.2755 0.0146 0.7859
O: 0.3190 0.5847 0.6332
O: 0.3753 0.7106 0.4867
O: 0.3896 0.5212 0.9607
O: 0.4252 0.0898 0.1229
O: 0.5207 0.1952 0.8109
O: 0.5212 0.3896 0.4607
O: 0.5847 0.3190 0.1332
O: 0.5848 0.8812 0.4952
O: 0.6843 0.7943 0.8085
O: 0.7106 0.3753 0.9867
O: 0.7456 0.0210 0.4572
O: 0.7943 0.6843 0.3085
O: 0.8193 0.9320 0.1412
O: 0.8812 0.5848 0.9952
O: 0.8816 0.2405 0.4554
O: 0.9320 0.8193 0.6412

(2)
Diffraction record for SrHN. The X-ray diffraction stick pattern is calculated, not measured: it uses a DFT-relaxed cell (PBE, the Materials Project) and Cu Kα, 1.54184 Å.
Lines closer than 0.1° are merged.

Peak list (12 most intense, 2θ from 10° to 90°, by angle)
Position (°2θ)	I/Imax
19.4	15
27.5	68
28.3	58
29.9	22
31.3	29
32.8	100
33.5	30
40.7	20
46.0	55
48.1	14
53.7	26
54.8	41

Cell and atoms:
Lattice parameters (Å, degrees): 7.5737 3.9451 5.7230 90.00 90.00 90.00
Element x y z (fractional)
Sr: 0.1495 0.2500 0.1809
Sr: 0.3505 0.7500 0.6809
Sr: 0.6495 0.2500 0.3191
Sr: 0.8505 0.7500 0.8191
H: 0.0224 0.2500 0.6025
H: 0.4776 0.7500 0.1025
H: 0.5224 0.2500 0.8975
H: 0.9776 0.7500 0.3975
N: 0.1119 0.2500 0.7399
N: 0.3881 0.7500 0.2399
N: 0.6119 0.2500 0.7601
N: 0.8881 0.7500 0.2601

(3)
Diffraction record for Na4Sn3O8. The X-ray diffraction stick pattern is calculated, not measured: it uses a DFT-relaxed cell (PBE, the Materials Project) and Cu Kα, 1.54184 Å.
Lines closer than 0.1° are merged.

Peak list (12 most intense, 2θ from 10° to 90°, by angle)
Position (°2θ)	I/Imax
13.4	43
16.4	100
21.2	16
31.7	45
33.2	65
38.5	92
42.1	16
50.7	22
55.6	55
58.4	21
66.3	34
69.6	17

Cell and atoms:
Lattice parameters (Å, degrees): 9.3539 9.3539 9.3539 90.00 90.00 90.00
Element x y z (fractional)
Na: 0.1059 0.1250 0.8559
Na: 0.1250 0.6250 0.8750
Na: 0.1250 0.8559 0.1059
Na: 0.1441 0.6059 0.3750
Na: 0.3559 0.3941 0.8750
Na: 0.3750 0.1441 0.6059
Na: 0.3750 0.3750 0.3750
Na: 0.3941 0.8750 0.3559
Na: 0.6059 0.3750 0.1441
Na: 0.6250 0.6441 0.8941
Na: 0.6250 0.8750 0.1250
Na: 0.6441 0.8941 0.6250
Na: 0.8559 0.1059 0.1250
Na: 0.8750 0.1250 0.6250
Na: 0.8750 0.3559 0.3941
Na: 0.8941 0.6250 0.6441
Sn: 0.1175 0.3675 0.1250
Sn: 0.1250 0.1175 0.3675
Sn: 0.1325 0.8750 0.6175
Sn: 0.3675 0.1250 0.1175
Sn: 0.3750 0.8825 0.8675
Sn: 0.3825 0.6325 0.6250
Sn: 0.6175 0.1325 0.8750
Sn: 0.6250 0.3825 0.6325
Sn: 0.6325 0.6250 0.3825
Sn: 0.8675 0.3750 0.8825
Sn: 0.8750 0.6175 0.1325
Sn: 0.8825 0.8675 0.3750
O: 0.0908 0.3658 0.9040
O: 0.0960 0.5908 0.1342
O: 0.1158 0.3408 0.3460
O: 0.1194 0.8806 0.3806
O: 0.1306 0.1306 0.1306
O: 0.1342 0.0960 0.5908
O: 0.1540 0.8842 0.8408
O: 0.1592 0.6540 0.6158
O: 0.3408 0.3460 0.1158
O: 0.3460 0.1158 0.3408
O: 0.3658 0.9040 0.0908
O: 0.3694 0.8694 0.6306
O: 0.3806 0.1194 0.8806
O: 0.3842 0.6592 0.8460
O: 0.4040 0.4092 0.6342
O: 0.4092 0.6342 0.4040
O: 0.5908 0.1342 0.0960
O: 0.5960 0.9092 0.8658
O: 0.6158 0.1592 0.6540
O: 0.6194 0.6194 0.6194
O: 0.6306 0.3694 0.8694
O: 0.6342 0.4040 0.4092
O: 0.6540 0.6158 0.1592
O: 0.6592 0.8460 0.3842
O: 0.8408 0.1540 0.8842
O: 0.8460 0.3842 0.6592
O: 0.8658 0.5960 0.9092
O: 0.8694 0.6306 0.3694
O: 0.8806 0.3806 0.1194
O: 0.8842 0.8408 0.1540
O: 0.9040 0.0908 0.3658
O: 0.9092 0.8658 0.5960

(4)
Diffraction record for NpTcO3. The X-ray diffraction stick pattern is calculated, not measured: it uses a DFT-relaxed cell (PBE, the Materials Project) and Cu Kα, 1.54184 Å.
Lines closer than 0.1° are merged.

Peak list (12 most intense, 2θ from 10° to 90°, by angle)
Position (°2θ)	I/Imax
22.4	14
31.8	100
39.3	12
45.6	27
51.4	8
56.7	40
66.5	17
71.2	4
75.7	18
80.1	4
84.4	6
88.7	2

Cell and atoms:
Lattice parameters (Å, degrees): 3.9747 3.9747 3.9747 90.00 90.00 90.00
Element x y z (fractional)
Np: 0.0000 0.0000 0.0000
Tc: 0.5000 0.5000 0.5000
O: 0.0000 0.5000 0.5000
O: 0.5000 0.0000 0.5000
O: 0.5000 0.5000 0.0000

(5)
Diffraction record for LaMgWS4. The X-ray diffraction stick pattern is calculated, not measured: it uses a DFT-relaxed cell (PBE, the Materials Project) and Cu Kα, 1.54184 Å.
Lines closer than 0.1° are merged.

Peak list (12 most intense, 2θ from 10° to 90°, by angle)
Position (°2θ)	I/Imax
13.5	100
14.7	36
26.5	53
27.1	17
27.2	20
28.4	26
32.2	31
33.4	48
42.1	12
42.7	20
44.8	29
47.0	41

Cell and atoms:
Lattice parameters (Å, degrees): 7.7589 7.7589 7.7589 125.00 117.06 88.37
Element x y z (fractional)
La: 0.2465 0.0000 0.2465
La: 0.7535 0.0000 0.7535
Mg: 0.1438 0.6438 0.5000
Mg: 0.3939 0.3939 0.0000
W: 0.7543 0.0599 0.3056
W: 0.7543 0.4487 0.6944
S: 0.0073 0.2608 0.7465
S: 0.5143 0.2608 0.2535
S: 0.5353 0.2874 0.7521
S: 0.5353 0.7832 0.2479
S: 0.5377 0.7459 0.7918
S: 0.9541 0.7459 0.2082
S: 0.9748 0.2510 0.2762
S: 0.9748 0.6985 0.7238